1.
The following is a computed X-ray diffraction stick pattern of Cr3Si6N11. It was derived from a GGA-PBE-relaxed structure, using Cu Kα (λ = 1.5418 Å).

Crystal structure
```
data_Cr3Si6N11
_cell_length_a 9.804
_cell_length_b 9.804
_cell_length_c 4.808
_cell_angle_alpha 90.00
_cell_angle_beta 90.00
_cell_angle_gamma 90.00
_space_group_name_H-M_alt 'P 4 b m'
_space_group_IT_number 100
_space_group_name_Hall 'P 4 -2ab'
loop_
_atom_site_label
_atom_site_fract_x
_atom_site_fract_y
_atom_site_fract_z
Cr1 0.000 0.000 0.000
Cr2 0.211 0.289 0.018
Si1 0.083 0.796 0.610
Si2 0.117 0.617 0.138
N1 0.000 0.500 0.187
N2 0.075 0.180 0.759
N3 0.095 0.786 0.256
N4 0.158 0.658 0.786
```

Most intense lines, 5° ≤ 2θ ≤ 70°, low angle first:
(1 1 0), 2θ 12.77, I 40
(2 0 0), 2θ 18.10, I 29
(0 0 1), 2θ 18.45, I 46
(2 1 0), 2θ 20.25, I 27
(1 1 1), 2θ 22.51, I 26
(2 1 1), 2θ 27.53, I 18
(2 2 1), 2θ 31.83, I 100
(3 1 1), 2θ 34.42, I 62
(4 1 0), 2θ 37.83, I 37
(3 2 1), 2θ 38.02, I 49
(2 2 2), 2θ 45.94, I 21
(4 1 2), 2θ 54.26, I 27

=====

2.
The following is a computed X-ray diffraction stick pattern of Ce3Hf. It was derived from a GGA-PBE-relaxed structure, using Cu Kα (λ = 1.5418 Å).

Crystal structure
```
data_Ce3Hf
_cell_length_a 4.729
_cell_length_b 4.729
_cell_length_c 4.729
_cell_angle_alpha 90.00
_cell_angle_beta 90.00
_cell_angle_gamma 90.00
_space_group_name_H-M_alt 'P m -3 m'
_space_group_IT_number 221
_space_group_name_Hall '-P 4 2 3'
loop_
_atom_site_label
_atom_site_fract_x
_atom_site_fract_y
_atom_site_fract_z
Ce1 0.000 0.000 0.500
Hf1 0.500 0.500 0.500
```

Most intense lines, 5° ≤ 2θ ≤ 70°, low angle first:
(1 0 0), 2θ 18.77, I 1
(1 1 0), 2θ 26.66, I 1
(1 1 1), 2θ 32.80, I 100
(2 0 0), 2θ 38.06, I 50
(2 1 0), 2θ 42.76, I 1
(2 2 0), 2θ 54.92, I 35
(3 1 1), 2θ 65.46, I 41
(2 2 2), 2θ 68.77, I 12

=====

Q: Number 2 is which compound?
A: Ce3Hf